(1)
Sr3Ag2Pb3: calculated powder X-ray diffraction pattern (λ = 1.5418 Å (Cu Kα)), based on a cell relaxed with PBE.

Cell and atoms:
Unit cell a=4.959 b=11.968 c=16.878 alpha=90.00 beta=90.00 gamma=90.00
Space group Cmcm (No. 63)
Unique sites:
Sr1 0.000 0.089 0.109 (multiplicity 8)
Sr2 0.000 0.361 0.250 (multiplicity 4)
Ag1 0.000 0.207 0.606 (multiplicity 8)
Pb1 0.000 0.348 0.750 (multiplicity 4)
Pb2 0.000 0.378 0.037 (multiplicity 8)

Largest 10 diffraction maxima, by angle, 2θ from 10° to 90°:
| 2theta | I_rel | hkl |
| --- | --- | --- |
| 19.38 | 23 | 1 1 0 |
| 21.68 | 30 | 0 2 3 |
| 28.76 | 100 | 1 1 4 |
| 29.21 | 19 | 1 3 1 |
| 29.86 | 27 | 0 4 0 |
| 32.93 | 55 | 1 3 3 |
| 35.88 | 56 | 1 3 4 |
| 36.23 | 46 | 2 0 0 |
| 40.32 | 20 | 0 2 7 |
| 42.36 | 27 | 1 1 7 |


(2)
Tb5Ag4Pb: calculated powder X-ray diffraction pattern (λ = 1.5418 Å (Cu Kα)), based on a cell relaxed with PBE.

Cell and atoms:
Unit cell a=3.593 b=3.593 c=19.483 alpha=90.00 beta=90.00 gamma=90.00
Space group P4/mmm (No. 123)
Unique sites:
Tb1 0.000 0.000 0.000 (multiplicity 1)
Tb2 0.000 0.000 0.192 (multiplicity 2)
Tb3 0.000 0.000 0.385 (multiplicity 2)
Ag1 0.500 0.500 0.097 (multiplicity 2)
Ag2 0.500 0.500 0.287 (multiplicity 2)
Pb1 0.500 0.500 0.500 (multiplicity 1)

Largest 10 diffraction maxima, by angle, 2θ from 10° to 90°:
| 2theta | I_rel | hkl |
| --- | --- | --- |
| 33.94 | 100 | 1 0 5 |
| 35.33 | 49 | 1 1 0 |
| 46.62 | 8 | 0 0 10 |
| 50.82 | 17 | 2 0 0 |
| 59.82 | 15 | 1 1 10 |
| 62.52 | 34 | 2 1 5 |
| 71.42 | 9 | 2 0 10 |
| 74.72 | 5 | 2 2 0 |
| 84.66 | 7 | 3 0 5 |
| 85.45 | 8 | 3 1 0 |


(3)
Tb6Ag5Pb: calculated powder X-ray diffraction pattern (λ = 1.5418 Å (Cu Kα)), based on a cell relaxed with PBE.

Cell and atoms:
Unit cell a=5.202 b=15.665 c=7.393 alpha=90.00 beta=90.00 gamma=90.00
Space group Cmmm (No. 65)
Unique sites:
Tb1 0.000 0.000 0.242 (multiplicity 4)
Tb2 0.000 0.330 0.244 (multiplicity 8)
Ag1 0.000 0.166 0.000 (multiplicity 4)
Ag2 0.000 0.167 0.500 (multiplicity 4)
Ag3 0.000 0.500 0.000 (multiplicity 2)
Pb1 0.000 0.500 0.500 (multiplicity 2)

Largest 10 diffraction maxima, by angle, 2θ from 10° to 90°:
| 2theta | I_rel | hkl |
| --- | --- | --- |
| 34.36 | 100 | 1 3 2 |
| 34.48 | 20 | 2 0 0 |
| 49.30 | 7 | 0 0 4 |
| 49.46 | 14 | 2 6 0 |
| 61.52 | 29 | 2 0 4 |
| 61.69 | 14 | 3 3 2 |
| 72.42 | 11 | 2 6 4 |
| 82.55 | 6 | 1 3 6 |
| 82.77 | 9 | 3 9 2 |
| 82.94 | 3 | 4 6 0 |


(4)
TcAg4Pb: calculated powder X-ray diffraction pattern (λ = 1.5418 Å (Cu Kα)), based on a cell relaxed with PBE.

Cell and atoms:
Unit cell a=7.859 b=7.859 c=7.859 alpha=90.00 beta=90.00 gamma=90.00
Space group F-43m (No. 216)
Unique sites:
Tc1 0.000 0.000 0.000 (multiplicity 4)
Ag1 0.126 0.126 0.626 (multiplicity 16)
Pb1 0.250 0.250 0.250 (multiplicity 4)

Largest 10 diffraction maxima, by angle, 2θ from 10° to 90°:
| 2theta | I_rel | hkl |
| --- | --- | --- |
| 22.63 | 5 | 2 0 0 |
| 32.22 | 36 | 2 2 0 |
| 37.97 | 100 | 3 1 1 |
| 39.73 | 31 | 2 2 2 |
| 57.45 | 14 | 4 2 2 |
| 61.29 | 32 | 5 1 1 |
| 67.41 | 25 | 4 4 0 |
| 76.69 | 6 | 6 2 0 |
| 80.07 | 11 | 5 3 3 |
| 81.19 | 11 | 6 2 2 |


(5)
TcAg2Pb: calculated powder X-ray diffraction pattern (λ = 1.5418 Å (Cu Kα)), based on a cell relaxed with PBE.

Cell and atoms:
Unit cell a=5.657 b=9.228 c=2.915 alpha=90.00 beta=90.00 gamma=90.00
Space group Cmmm (No. 65)
Unique sites:
Tc1 0.000 0.000 0.000 (multiplicity 2)
Ag1 0.250 0.250 0.500 (multiplicity 4)
Pb1 0.000 0.500 0.000 (multiplicity 2)

Largest 10 diffraction maxima, by angle, 2θ from 10° to 90°:
| 2theta | I_rel | hkl |
| --- | --- | --- |
| 18.40 | 19 | 1 1 0 |
| 36.46 | 100 | 0 2 1 |
| 37.29 | 94 | 2 2 0 |
| 39.04 | 41 | 0 4 0 |
| 44.64 | 56 | 2 0 1 |
| 60.78 | 44 | 2 4 1 |
| 69.05 | 15 | 0 6 1 |
| 69.58 | 15 | 2 6 0 |
| 76.35 | 23 | 2 2 2 |
| 77.88 | 22 | 4 2 1 |


(6)
Ag6Te4Pb: calculated powder X-ray diffraction pattern (λ = 1.5418 Å (Cu Kα)), based on a cell relaxed with PBE.

Cell and atoms:
Unit cell a=10.328 b=10.368 c=10.855 alpha=90.00 beta=90.00 gamma=90.00
Space group Fmm2 (No. 42)
Unique sites:
Ag1 0.000 0.146 0.000 (multiplicity 8)
Ag2 0.146 0.000 0.217 (multiplicity 8)
Ag3 0.250 0.250 0.109 (multiplicity 8)
Te1 0.000 0.239 0.259 (multiplicity 8)
Te2 0.239 0.000 0.958 (multiplicity 8)
Pb1 0.000 0.000 0.610 (multiplicity 4)

Largest 10 diffraction maxima, by angle, 2θ from 10° to 90°:
| 2theta | I_rel | hkl |
| --- | --- | --- |
| 16.33 | 39 | 0 0 2 |
| 27.50 | 46 | 1 1 3 |
| 28.49 | 66 | 3 1 1 |
| 29.44 | 92 | 2 2 2 |
| 34.61 | 43 | 0 4 0 |
| 34.75 | 42 | 4 0 0 |
| 37.04 | 32 | 3 1 3 |
| 37.81 | 52 | 3 3 1 |
| 41.43 | 100 | 2 2 4 |
| 42.47 | 77 | 2 4 2 |


What did the sixth record say?
Ag6Te4Pb: calculated powder X-ray diffraction pattern (λ = 1.5418 Å (Cu Kα)), based on a cell relaxed with PBE.

Cell and atoms:
Unit cell a=10.328 b=10.368 c=10.855 alpha=90.00 beta=90.00 gamma=90.00
Space group Fmm2 (No. 42)
Unique sites:
Ag1 0.000 0.146 0.000 (multiplicity 8)
Ag2 0.146 0.000 0.217 (multiplicity 8)
Ag3 0.250 0.250 0.109 (multiplicity 8)
Te1 0.000 0.239 0.259 (multiplicity 8)
Te2 0.239 0.000 0.958 (multiplicity 8)
Pb1 0.000 0.000 0.610 (multiplicity 4)

Largest 10 diffraction maxima, by angle, 2θ from 10° to 90°:
| 2theta | I_rel | hkl |
| --- | --- | --- |
| 16.33 | 39 | 0 0 2 |
| 27.50 | 46 | 1 1 3 |
| 28.49 | 66 | 3 1 1 |
| 29.44 | 92 | 2 2 2 |
| 34.61 | 43 | 0 4 0 |
| 34.75 | 42 | 4 0 0 |
| 37.04 | 32 | 3 1 3 |
| 37.81 | 52 | 3 3 1 |
| 41.43 | 100 | 2 2 4 |
| 42.47 | 77 | 2 4 2 |